No. 1
This entry pairs a crystal structure of InSn5Pd4 with its simulated XRD peak list. Radiation: Cu Kα. Structure: a cell relaxed with GGA-PBE.
Neutral-atom scattering factors, no anomalous dispersion.

The 10 most intense peaks (2θ = 15–90°), in order of rising 2θ:
hkl, d/Å, 2θ/deg, Rel. int.
3 1 -2, 2.374, 37.90, 70.2
3 1 2, 2.325, 38.73, 100.0
0 2 0, 2.308, 39.03, 32.9
0 0 4, 1.688, 54.35, 12.3
6 2 0, 1.637, 56.20, 22.4
0 2 4, 1.362, 68.92, 12.4
9 1 -2, 1.359, 69.10, 11.9
3 3 -2, 1.345, 69.96, 11.8
3 3 2, 1.336, 70.48, 11.8
9 1 2, 1.333, 70.68, 11.3

Cell and atoms:
Lattice parameters (Å, degrees): 13.9358 4.6155 6.7543 90.00 91.63 90.00
Space group C2/m (No. 12)
Asymmetric unit:
In 0.0000 0.0000 0.0000 [2 per cell]
Sn 0.0000 0.0000 0.5000 [2 per cell]
Sn 0.1694 0.5000 0.0068 [4 per cell]
Sn 0.1696 0.5000 0.4916 [4 per cell]
Pd 0.0039 0.5000 0.2409 [4 per cell]
Pd 0.1607 0.0000 0.7540 [4 per cell]

***

No. 2
This entry pairs a crystal structure of InSn2Pd4 with its simulated XRD peak list. Radiation: Cu Kα. Structure: a cell relaxed with GGA-PBE.
Neutral-atom scattering factors, no anomalous dispersion.

The 10 most intense peaks (2θ = 15–90°), in order of rising 2θ:
hkl, d/Å, 2θ/deg, Rel. int.
1 2 -1, 2.690, 33.31, 25.4
1 2 -2, 2.606, 34.41, 35.5
-1 2 1, 2.587, 34.67, 31.1
2 -1 1, 2.485, 36.15, 56.2
2 1 -2, 2.399, 37.49, 100.0
0 1 2, 2.353, 38.25, 73.5
-2 2 1, 2.325, 38.73, 68.7
0 3 -1, 2.287, 39.39, 91.3
0 2 -3, 2.251, 40.06, 35.5
2 1 0, 2.221, 40.62, 52.4

Cell and atoms:
Lattice parameters (Å, degrees): 6.0471 7.1305 7.1378 112.23 103.77 103.57
Space group P1 (No. 1)
Asymmetric unit:
In 0.0000 0.0000 0.0000 [1 per cell]
In 0.3034 0.8078 0.5623 [1 per cell]
Sn 0.0627 0.5303 0.8090 [1 per cell]
Sn 0.5296 0.4801 0.7143 [1 per cell]
Sn 0.5876 0.3161 0.1806 [1 per cell]
Sn 0.7851 0.0018 0.4133 [1 per cell]
Pd 0.0645 0.3601 0.3797 [1 per cell]
Pd 0.2081 0.1768 0.7693 [1 per cell]
Pd 0.3475 0.0760 0.3645 [1 per cell]
Pd 0.3751 0.6042 0.1896 [1 per cell]
Pd 0.5119 0.8799 0.9904 [1 per cell]
Pd 0.7239 0.1860 0.8158 [1 per cell]
Pd 0.8225 0.6991 0.5616 [1 per cell]
Pd 0.8932 0.6659 0.1492 [1 per cell]

***

No. 3
This entry pairs a crystal structure of In2SnPd2 with its simulated XRD peak list. Radiation: Cu Kα. Structure: a cell relaxed with GGA-PBE.
Neutral-atom scattering factors, no anomalous dispersion.

The 10 most intense peaks (2θ = 15–90°), in order of rising 2θ:
hkl, d/Å, 2θ/deg, Rel. int.
1 0 1, 4.179, 21.26, 10.5
1 1 0, 3.269, 27.28, 8.9
0 2 0, 2.313, 38.94, 100.0
2 0 0, 2.303, 39.11, 19.9
0 0 6, 1.638, 56.15, 6.6
2 2 0, 1.633, 56.36, 13.5
1 3 3, 1.336, 70.47, 20.2
2 0 6, 1.335, 70.55, 6.6
3 1 3, 1.332, 70.75, 13.5
0 4 0, 1.156, 83.61, 10.6

Cell and atoms:
Lattice parameters (Å, degrees): 4.6069 4.6282 9.8281 90.00 90.00 90.00
Space group Pmmn (No. 59, origin choice 2)
Asymmetric unit:
In 0.2500 0.2500 0.0024 [2 per cell]
In 0.2500 0.2500 0.3240 [2 per cell]
Sn 0.2500 0.2500 0.6731 [2 per cell]
Pd 0.2500 0.7500 0.1664 [2 per cell]
Pd 0.2500 0.7500 0.5002 [2 per cell]

***

No. 4
This entry pairs a crystal structure of Sr2InSn3Pd4 with its simulated XRD peak list. Radiation: Cu Kα. Structure: a cell relaxed with GGA-PBE.
Neutral-atom scattering factors, no anomalous dispersion.

The 10 most intense peaks (2θ = 15–90°), in order of rising 2θ:
hkl, d/Å, 2θ/deg, Rel. int.
0 0 2, 5.285, 16.78, 14.6
1 1 2, 2.833, 31.58, 100.0
2 0 0, 2.376, 37.87, 56.4
1 1 4, 2.077, 43.58, 34.7
1 0 5, 1.931, 47.05, 11.9
2 1 3, 1.820, 50.14, 21.3
2 2 0, 1.680, 54.64, 19.4
3 1 2, 1.445, 64.48, 20.4
3 1 4, 1.306, 72.34, 16.2
2 0 8, 1.155, 83.77, 11.0

Cell and atoms:
Lattice parameters (Å, degrees): 4.7513 4.7513 10.5696 90.00 90.00 90.00
Space group P-4m2 (No. 115)
Asymmetric unit:
Sr 0.0000 0.5000 0.2422 [2 per cell]
In 0.0000 0.0000 0.5000 [1 per cell]
Sn 0.0000 0.5000 0.8808 [2 per cell]
Sn 0.5000 0.5000 0.5000 [1 per cell]
Pd 0.0000 0.0000 0.0000 [1 per cell]
Pd 0.0000 0.5000 0.6301 [2 per cell]
Pd 0.5000 0.5000 0.0000 [1 per cell]